DyZn12Ga4: computed X-ray diffraction stick pattern (Cu Kα), based on a structure optimized by DFT (PBE).
Kinematic intensities with the Lorentz-polarization factor, no thermal factor.

Largest 10 diffraction maxima, by angle, 5° ≤ 2θ ≤ 70°:
(hkl), d_spacing, Position (°2θ), Rel. int.
2 2 0, 3.091, 28.9, 22.9
3 0 1, 2.765, 32.4, 100.0
3 1 2, 2.337, 38.5, 49.2
4 0 2, 1.955, 46.4, 18.1
4 2 2, 1.785, 51.2, 33.7
4 3 1, 1.715, 53.4, 43.6
5 1 2, 1.596, 57.8, 4.3
5 3 0, 1.499, 61.9, 4.2
6 0 0, 1.457, 63.9, 5.6
6 2 0, 1.382, 67.8, 10.7

Structural model:
abc: 8.7430 8.7430 8.7430
angles: 90.00 90.00 90.00
Space group Im-3 (No. 204)
Symmetry-distinct sites (fractional):
Dy 0.0000 0.0000 0.0000
Zn 0.0000 0.3529 0.1473
Ga 0.2500 0.2500 0.2500